# 1
Starting from a DFT-relaxed cell (GGA-PBE, Alexandria), the XRD peak list of Mg3As2Pd7 was calculated for Cu Ka.
Intensities are scaled so that the largest is 100.

Structure:
```
Mg3As2Pd7
1.0
4.783 0.000 0.000
-1.302 4.603 0.000
-0.845 -1.099 8.868
Mg As Pd
3 2 7
Direct
0.000 0.000 0.000
0.103 0.103 0.357
0.897 0.897 0.643
0.424 0.424 0.719
0.576 0.576 0.281
0.043 0.555 0.184
0.306 0.692 0.499
0.446 0.956 0.816
0.500 0.500 0.000
0.554 0.044 0.184
0.694 0.308 0.501
0.957 0.445 0.816
```

Largest 10 diffraction maxima, by intensity, 2θ = 10–80°:
d (Å)	two_theta	Rel. int.
2.281	39.50	100
2.337	38.53	83
4.567	19.44	43
2.245	40.16	32
1.908	47.67	24
1.898	47.93	20
2.956	30.24	15
2.215	40.74	14
3.815	23.32	14
1.935	46.96	13

=====

# 2
Starting from a DFT-relaxed cell (GGA-PBE, Alexandria), the XRD peak list of Mg2AsPd7 was calculated for Cu Ka.
Intensities are scaled so that the largest is 100.

Structure:
```
Mg2AsPd7
1.0
0.000 4.748 4.748
4.748 0.000 4.748
4.748 4.748 0.000
Mg As Pd
2 1 7
Direct
0.250 0.250 0.250
0.750 0.750 0.750
0.000 0.000 0.000
0.239 0.239 0.761
0.239 0.761 0.239
0.239 0.761 0.761
0.500 0.500 0.500
0.761 0.239 0.239
0.761 0.239 0.761
0.761 0.761 0.239
```

Largest 10 diffraction maxima, by intensity, 2θ = 10–80°:
d (Å)	two_theta	Rel. int.
2.374	37.90	100
4.748	18.69	99
2.741	32.67	68
1.679	54.68	67
2.123	42.58	44
1.431	65.17	25
1.371	68.46	22
1.583	58.31	21
1.317	71.67	10
2.178	41.45	5

=====

# 3
Starting from a DFT-relaxed cell (GGA-PBE, Alexandria), the XRD peak list of Mg3As2Pd4 was calculated for Cu Ka.
Intensities are scaled so that the largest is 100.

Structure:
```
Mg3As2Pd4
1.0
6.397 0.000 0.000
-0.113 6.659 0.000
-0.942 -0.224 7.253
Mg As Pd
6 4 8
Direct
0.029 0.261 0.249
0.294 0.422 0.698
0.328 0.915 0.206
0.672 0.085 0.794
0.706 0.578 0.302
0.971 0.739 0.751
0.246 0.998 0.580
0.453 0.283 0.060
0.547 0.717 0.940
0.754 0.002 0.420
0.112 0.126 0.886
0.132 0.650 0.418
0.205 0.568 0.044
0.444 0.269 0.403
0.556 0.731 0.597
0.795 0.432 0.956
0.868 0.350 0.582
0.888 0.874 0.114
```

Largest 10 diffraction maxima, by intensity, 2θ = 10–80°:
d (Å)	two_theta	Rel. int.
2.272	39.67	100
2.590	34.63	94
2.243	40.21	84
2.337	38.52	79
2.040	44.40	59
2.972	30.07	49
2.140	42.23	49
3.626	24.55	47
1.939	46.86	46
3.668	24.27	45

=====

# 4
Starting from a DFT-relaxed cell (GGA-PBE, Alexandria), the XRD peak list of MgAsPd4 was calculated for Cu Ka.
Intensities are scaled so that the largest is 100.

Structure:
```
MgAsPd4
1.0
4.611 0.000 0.000
0.000 8.207 0.000
0.000 0.000 5.093
Mg As Pd
2 2 8
Direct
0.000 0.000 0.000
0.000 0.500 0.500
0.500 0.000 0.409
0.500 0.500 0.909
0.005 0.167 0.502
0.005 0.333 0.002
0.495 0.675 0.323
0.495 0.825 0.823
0.505 0.175 0.823
0.505 0.325 0.323
0.995 0.667 0.002
0.995 0.833 0.502
```

Largest 10 diffraction maxima, by intensity, 2θ = 10–80°:
d (Å)	two_theta	Rel. int.
2.136	42.32	100
2.229	40.47	47
2.305	39.07	42
2.410	37.31	21
4.327	20.52	20
1.296	73.02	19
1.223	78.17	16
2.546	35.25	15
1.442	64.62	14
1.959	46.36	14

=====

Question: Number 4 is which compound?
Answer: MgAsPd4